[1]
Sm2AuO4F: calculated X-ray diffraction stick pattern (CuKα), based on the PBE geometry in Alexandria.

Cell and atoms:
```
data_Sm2AuO4F
_symmetry_space_group_name_H-M 'P 1'
_symmetry_Int_Tables_number 1
_cell_length_a 5.473
_cell_length_b 5.473
_cell_length_c 6.536
_cell_angle_alpha 112.93
_cell_angle_beta 112.93
_cell_angle_gamma 37.39
loop_
_symmetry_equiv_pos_as_xyz
'x,y,z'
loop_
_atom_site_label
_atom_site_type_symbol
_atom_site_fract_x
_atom_site_fract_y
_atom_site_fract_z
_atom_site_occupancy
Sm1 Sm 0.185 0.185 0.208 1
Sm2 Sm 0.815 0.815 0.792 1
Au1 Au 0.000 0.000 0.500 1
O1 O 0.166 0.166 0.813 1
O2 O 0.363 0.363 0.566 1
O3 O 0.637 0.637 0.434 1
O4 O 0.834 0.834 0.187 1
F1 F 0.500 0.500 0.000 1
```

Main lines, in order of falling intensity (10 to 80 degrees two-theta):
| two_theta | I (rel.) |
| --- | --- |
| 28.1 | 100 |
| 32.9 | 92 |
| 36.7 | 87 |
| 27.1 | 85 |
| 28.5 | 81 |
| 41.1 | 60 |
| 50.1 | 50 |
| 34.6 | 49 |
| 45.7 | 35 |
| 56.9 | 32 |

***

[2]
TaAuO2F: calculated X-ray diffraction stick pattern (CuKα), based on the PBE geometry in Alexandria.

Cell and atoms:
```
data_TaAuO2F
_symmetry_space_group_name_H-M 'P 1'
_symmetry_Int_Tables_number 1
_cell_length_a 3.984
_cell_length_b 3.984
_cell_length_c 4.242
_cell_angle_alpha 90.00
_cell_angle_beta 90.00
_cell_angle_gamma 90.00
loop_
_symmetry_equiv_pos_as_xyz
'x,y,z'
loop_
_atom_site_label
_atom_site_type_symbol
_atom_site_fract_x
_atom_site_fract_y
_atom_site_fract_z
_atom_site_occupancy
Ta1 Ta 0.000 0.000 0.000 1
Au1 Au 0.500 0.500 0.500 1
O1 O 0.000 0.500 0.000 1
O2 O 0.500 0.000 0.000 1
F1 F 0.000 0.000 0.500 1
```

Main lines, in order of falling intensity (10 to 80 degrees two-theta):
| two_theta | I (rel.) |
| --- | --- |
| 30.8 | 100 |
| 31.8 | 48 |
| 56.0 | 39 |
| 45.5 | 25 |
| 54.1 | 22 |
| 64.1 | 17 |
| 42.6 | 15 |
| 70.7 | 10 |
| 75.4 | 9 |
| 74.9 | 8 |